No. 1
Theoretical X-ray diffraction stick pattern
Compound: La7Pr6Tm16
Radiation: copper Kα
Structure: a DFT-relaxed cell (GGA-PBE, Alexandria)
Lines closer than 0.1° are merged.

The 12 most intense peaks (10° ≤ 2θ ≤ 90°), by angle:
| 2theta | I (rel.) |
| --- | --- |
| 11.03 | 7 |
| 24.82 | 9 |
| 31.55 | 100 |
| 33.03 | 9 |
| 33.51 | 8 |
| 35.38 | 7 |
| 40.55 | 7 |
| 45.21 | 13 |
| 51.92 | 6 |
| 56.17 | 26 |
| 65.86 | 8 |
| 74.86 | 7 |

Cell and atoms:
Cell: 11.3445 11.3445 11.3445 Å, 60.00 60.00 60.00°
Element x y z (fractional)
La 0.0000 0.0000 0.0000
La 0.0000 0.0000 0.5000
La 0.0000 0.5000 0.0000
La 0.0000 0.5000 0.5000
La 0.5000 0.0000 0.0000
La 0.5000 0.0000 0.5000
La 0.5000 0.5000 0.0000
Pr 0.2555 0.2555 0.7445
Pr 0.2555 0.7445 0.2555
Pr 0.2555 0.7445 0.7445
Pr 0.7445 0.2555 0.2555
Pr 0.7445 0.2555 0.7445
Pr 0.7445 0.7445 0.2555
Tm 0.0364 0.6545 0.6545
Tm 0.1300 0.1300 0.1300
Tm 0.1300 0.1300 0.6101
Tm 0.1300 0.6101 0.1300
Tm 0.3455 0.3455 0.3455
Tm 0.3455 0.3455 0.9636
Tm 0.3455 0.9636 0.3455
Tm 0.3899 0.8700 0.8700
Tm 0.6101 0.1300 0.1300
Tm 0.6545 0.0364 0.6545
Tm 0.6545 0.6545 0.0364
Tm 0.6545 0.6545 0.6545
Tm 0.8700 0.3899 0.8700
Tm 0.8700 0.8700 0.3899
Tm 0.8700 0.8700 0.8700
Tm 0.9636 0.3455 0.3455


No. 2
Theoretical X-ray diffraction stick pattern
Compound: La7Pr3Tm2
Radiation: copper Kα
Structure: a DFT-relaxed cell (GGA-PBE, Alexandria)
Lines closer than 0.1° are merged.

The 12 most intense peaks (10° ≤ 2θ ≤ 90°), by angle:
| 2theta | I (rel.) |
| --- | --- |
| 28.95 | 56 |
| 29.67 | 84 |
| 29.83 | 100 |
| 30.47 | 99 |
| 32.48 | 69 |
| 33.87 | 90 |
| 48.53 | 42 |
| 50.67 | 24 |
| 58.44 | 26 |
| 59.82 | 24 |
| 59.92 | 29 |
| 61.48 | 22 |

Cell and atoms:
Cell: 6.5919 3.6032 18.0700 Å, 90.00 95.99 90.00°
Element x y z (fractional)
La 0.0000 0.0000 0.0000
La 0.2204 0.5000 0.1719
La 0.2602 0.5000 0.4915
La 0.2696 0.0000 0.8301
La 0.7304 0.0000 0.1699
La 0.7398 0.5000 0.5085
La 0.7796 0.5000 0.8281
Pr 0.4554 0.0000 0.3362
Pr 0.5000 0.5000 0.0000
Pr 0.5446 0.0000 0.6638
Tm 0.0559 0.5000 0.6694
Tm 0.9441 0.5000 0.3306


No. 3
Theoretical X-ray diffraction stick pattern
Compound: La7Pr3Tm
Radiation: copper Kα
Structure: a DFT-relaxed cell (GGA-PBE, Alexandria)
Lines closer than 0.1° are merged.

The 12 most intense peaks (10° ≤ 2θ ≤ 90°), by angle:
| 2theta | I (rel.) |
| --- | --- |
| 22.54 | 9 |
| 24.35 | 19 |
| 27.37 | 12 |
| 29.26 | 42 |
| 30.94 | 35 |
| 31.51 | 100 |
| 38.41 | 9 |
| 43.09 | 22 |
| 53.27 | 11 |
| 53.38 | 11 |
| 60.17 | 9 |
| 60.25 | 10 |

Cell and atoms:
Cell: 8.7205 8.7205 6.1038 Å, 110.37 110.37 82.97°
Element x y z (fractional)
La 0.0000 0.0000 0.0000
La 0.0959 0.5130 0.3042
La 0.2882 0.2882 0.7879
La 0.4870 0.9041 0.6958
La 0.5130 0.0959 0.3042
La 0.7118 0.7118 0.2121
La 0.9041 0.4870 0.6958
Pr 0.2912 0.7088 0.0000
Pr 0.5000 0.5000 0.5000
Pr 0.7088 0.2912 0.0000
Tm 0.0000 0.0000 0.5000


No. 4
Theoretical X-ray diffraction stick pattern
Compound: La12Pr5Tm
Radiation: copper Kα
Structure: a DFT-relaxed cell (GGA-PBE, Alexandria)
Lines closer than 0.1° are merged.

The 12 most intense peaks (10° ≤ 2θ ≤ 90°), by angle:
| 2theta | I (rel.) |
| --- | --- |
| 29.49 | 100 |
| 34.04 | 17 |
| 34.18 | 17 |
| 34.31 | 17 |
| 49.06 | 24 |
| 49.21 | 12 |
| 58.15 | 15 |
| 58.33 | 14 |
| 58.50 | 14 |
| 61.19 | 12 |
| 79.49 | 6 |
| 79.65 | 6 |

Cell and atoms:
Cell: 11.1007 5.2673 11.1181 Å, 90.00 90.22 90.00°
Element x y z (fractional)
La 0.0003 0.0000 0.1694
La 0.9997 0.0000 0.8306
La 0.1650 0.5000 0.6649
La 0.1663 0.5000 0.9993
La 0.3310 0.0000 0.4996
La 0.3319 0.0000 0.8317
La 0.4991 0.5000 0.6665
La 0.5009 0.5000 0.3335
La 0.6681 0.0000 0.1683
La 0.6690 0.0000 0.5004
La 0.8337 0.5000 0.0007
La 0.8350 0.5000 0.3351
Pr 0.1654 0.5000 0.3345
Pr 0.3334 0.0000 0.1667
Pr 0.5000 0.5000 0.0000
Pr 0.6666 0.0000 0.8333
Pr 0.8346 0.5000 0.6655
Tm 0.0000 0.0000 0.5000


No. 5
Theoretical X-ray diffraction stick pattern
Compound: La2Pr5Tm4
Radiation: copper Kα
Structure: a DFT-relaxed cell (GGA-PBE, Alexandria)
Lines closer than 0.1° are merged.

The 12 most intense peaks (10° ≤ 2θ ≤ 90°), by angle:
| 2theta | I (rel.) |
| --- | --- |
| 28.93 | 18 |
| 29.10 | 22 |
| 29.96 | 14 |
| 30.52 | 50 |
| 30.67 | 100 |
| 30.77 | 34 |
| 35.08 | 79 |
| 36.46 | 16 |
| 50.47 | 23 |
| 51.65 | 14 |
| 60.15 | 15 |
| 60.31 | 16 |

Cell and atoms:
Cell: 9.3134 9.3134 12.2787 Å, 107.07 107.07 22.39°
Element x y z (fractional)
La 0.1785 0.1785 0.2967
La 0.8215 0.8215 0.7033
Pr 0.0000 0.0000 0.0000
Pr 0.3339 0.3339 0.9881
Pr 0.3913 0.3913 0.4820
Pr 0.6087 0.6087 0.5180
Pr 0.6661 0.6661 0.0119
Tm 0.1690 0.1690 0.7695
Tm 0.4937 0.4937 0.2480
Tm 0.5063 0.5063 0.7520
Tm 0.8310 0.8310 0.2305


No. 6
Theoretical X-ray diffraction stick pattern
Compound: La4Pr5Tm
Radiation: copper Kα
Structure: a DFT-relaxed cell (GGA-PBE, Alexandria)
Lines closer than 0.1° are merged.

The 12 most intense peaks (10° ≤ 2θ ≤ 90°), by angle:
| 2theta | I (rel.) |
| --- | --- |
| 29.51 | 100 |
| 34.12 | 35 |
| 34.38 | 16 |
| 49.03 | 12 |
| 49.22 | 23 |
| 58.27 | 29 |
| 58.61 | 13 |
| 61.25 | 12 |
| 79.53 | 6 |
| 79.83 | 11 |
| 81.99 | 6 |
| 82.14 | 5 |

Cell and atoms:
Cell: 3.7161 3.7161 26.0830 Å, 90.00 90.00 90.00°
Element x y z (fractional)
La 0.0000 0.0000 0.1014
La 0.0000 0.0000 0.3041
La 0.0000 0.0000 0.6959
La 0.0000 0.0000 0.8986
Pr 0.5000 0.5000 0.0000
Pr 0.5000 0.5000 0.2026
Pr 0.5000 0.5000 0.4055
Pr 0.5000 0.5000 0.5945
Pr 0.5000 0.5000 0.7974
Tm 0.0000 0.0000 0.5000


No. 7
Theoretical X-ray diffraction stick pattern
Compound: LaPr12Tm5
Radiation: copper Kα
Structure: a DFT-relaxed cell (GGA-PBE, Alexandria)
Lines closer than 0.1° are merged.

The 12 most intense peaks (10° ≤ 2θ ≤ 90°), by angle:
| 2theta | I (rel.) |
| --- | --- |
| 29.92 | 100 |
| 34.61 | 34 |
| 34.82 | 17 |
| 49.75 | 12 |
| 49.91 | 24 |
| 59.14 | 29 |
| 59.43 | 14 |
| 62.16 | 12 |
| 80.85 | 6 |
| 81.10 | 12 |
| 83.38 | 6 |
| 83.50 | 5 |

Cell and atoms:
Cell: 10.9651 10.9651 5.1824 Å, 90.00 90.00 90.36°
Element x y z (fractional)
La 0.0000 0.0000 0.0000
Pr 0.0027 0.6668 0.0000
Pr 0.1672 0.1672 0.5000
Pr 0.1706 0.5029 0.5000
Pr 0.3332 0.9973 0.0000
Pr 0.3372 0.3372 0.0000
Pr 0.4971 0.8294 0.5000
Pr 0.5029 0.1706 0.5000
Pr 0.6628 0.6628 0.0000
Pr 0.6668 0.0027 0.0000
Pr 0.8294 0.4971 0.5000
Pr 0.8328 0.8328 0.5000
Pr 0.9973 0.3332 0.0000
Tm 0.1688 0.8312 0.5000
Tm 0.3330 0.6670 0.0000
Tm 0.5000 0.5000 0.5000
Tm 0.6670 0.3330 0.0000
Tm 0.8312 0.1688 0.5000


No. 8
Theoretical X-ray diffraction stick pattern
Compound: La3Pr6Tm2
Radiation: copper Kα
Structure: a DFT-relaxed cell (GGA-PBE, Alexandria)
Lines closer than 0.1° are merged.

The 12 most intense peaks (10° ≤ 2θ ≤ 90°), by angle:
| 2theta | I (rel.) |
| --- | --- |
| 27.15 | 22 |
| 29.84 | 89 |
| 30.21 | 30 |
| 30.81 | 28 |
| 30.91 | 85 |
| 31.17 | 100 |
| 31.72 | 65 |
| 32.01 | 58 |
| 32.34 | 77 |
| 32.72 | 36 |
| 42.82 | 21 |
| 47.64 | 19 |

Cell and atoms:
Cell: 6.9244 7.0875 8.6835 Å, 76.95 76.62 77.06°
Element x y z (fractional)
La 0.0000 0.0000 0.0000
La 0.3345 0.1539 0.6348
La 0.6655 0.8461 0.3652
Pr 0.1770 0.9835 0.3413
Pr 0.2757 0.6433 0.7113
Pr 0.4521 0.2511 0.0095
Pr 0.5479 0.7489 0.9905
Pr 0.7243 0.3567 0.2887
Pr 0.8230 0.0165 0.6587
Tm 0.1682 0.5210 0.3103
Tm 0.8318 0.4790 0.6897


No. 9
Theoretical X-ray diffraction stick pattern
Compound: LaPrTm3
Radiation: copper Kα
Structure: a DFT-relaxed cell (GGA-PBE, Alexandria)
Lines closer than 0.1° are merged.

The 12 most intense peaks (10° ≤ 2θ ≤ 90°), by angle:
| 2theta | I (rel.) |
| --- | --- |
| 28.55 | 16 |
| 29.28 | 47 |
| 30.38 | 100 |
| 31.74 | 15 |
| 33.41 | 29 |
| 34.42 | 36 |
| 38.00 | 23 |
| 48.43 | 16 |
| 59.18 | 15 |
| 60.74 | 14 |
| 65.53 | 29 |
| 86.33 | 16 |

Cell and atoms:
Cell: 6.2153 6.2153 11.2680 Å, 90.00 90.00 130.44°
Element x y z (fractional)
La 0.1517 0.8483 0.0000
La 0.8483 0.1517 0.0000
Pr 0.3648 0.6352 0.5000
Pr 0.6352 0.3648 0.5000
Tm 0.1525 0.8475 0.3013
Tm 0.1525 0.8475 0.6987
Tm 0.5000 0.5000 0.1692
Tm 0.5000 0.5000 0.8308
Tm 0.8475 0.1525 0.3013
Tm 0.8475 0.1525 0.6987


No. 10
Theoretical X-ray diffraction stick pattern
Compound: La3Pr4Tm
Radiation: copper Kα
Structure: a DFT-relaxed cell (GGA-PBE, Alexandria)
Lines closer than 0.1° are merged.

The 12 most intense peaks (10° ≤ 2θ ≤ 90°), by angle:
| 2theta | I (rel.) |
| --- | --- |
| 28.75 | 42 |
| 29.89 | 34 |
| 31.59 | 100 |
| 35.88 | 23 |
| 47.37 | 10 |
| 48.96 | 9 |
| 49.13 | 17 |
| 54.14 | 22 |
| 58.42 | 10 |
| 58.58 | 20 |
| 59.48 | 11 |
| 82.96 | 9 |

Cell and atoms:
Cell: 12.5197 12.5197 6.4161 Å, 104.83 104.83 17.09°
Element x y z (fractional)
La 0.0000 0.0000 0.0000
La 0.2507 0.2507 0.2508
La 0.7493 0.7493 0.7492
Pr 0.1230 0.1230 0.7892
Pr 0.3755 0.3755 0.7097
Pr 0.6245 0.6245 0.2903
Pr 0.8770 0.8770 0.2108
Tm 0.5000 0.5000 0.5000


No. 11
Theoretical X-ray diffraction stick pattern
Compound: La2Pr4Tm
Radiation: copper Kα
Structure: a DFT-relaxed cell (GGA-PBE, Alexandria)
Lines closer than 0.1° are merged.

The 12 most intense peaks (10° ≤ 2θ ≤ 90°), by angle:
| 2theta | I (rel.) |
| --- | --- |
| 27.77 | 19 |
| 28.33 | 18 |
| 28.66 | 33 |
| 30.00 | 68 |
| 31.27 | 92 |
| 31.97 | 100 |
| 36.16 | 20 |
| 49.06 | 49 |
| 53.61 | 17 |
| 54.96 | 24 |
| 58.58 | 57 |
| 83.13 | 20 |

Cell and atoms:
Cell: 20.9654 20.9654 20.9654 Å, 10.16 10.16 10.16°
Element x y z (fractional)
La 0.0943 0.0943 0.0943
La 0.9057 0.9057 0.9057
Pr 0.1912 0.1912 0.1912
Pr 0.3793 0.3793 0.3793
Pr 0.6207 0.6207 0.6207
Pr 0.8088 0.8088 0.8088
Tm 0.0000 0.0000 0.0000


No. 12
Theoretical X-ray diffraction stick pattern
Compound: La4Pr11Tm9
Radiation: copper Kα
Structure: a DFT-relaxed cell (GGA-PBE, Alexandria)
Lines closer than 0.1° are merged.

The 12 most intense peaks (10° ≤ 2θ ≤ 90°), by angle:
| 2theta | I (rel.) |
| --- | --- |
| 28.16 | 7 |
| 29.54 | 64 |
| 29.70 | 6 |
| 29.96 | 7 |
| 30.41 | 14 |
| 31.75 | 100 |
| 32.26 | 8 |
| 48.57 | 12 |
| 53.93 | 8 |
| 57.90 | 17 |
| 59.53 | 8 |
| 86.22 | 7 |

Cell and atoms:
Cell: 15.4275 15.4275 3.7488 Å, 90.00 90.00 112.90°
Element x y z (fractional)
La 0.0547 0.2552 0.0000
La 0.2552 0.0547 0.0000
La 0.7448 0.9453 0.0000
La 0.9453 0.7448 0.0000
Pr 0.0939 0.4560 0.5000
Pr 0.1347 0.8653 0.5000
Pr 0.2119 0.2119 0.5000
Pr 0.3409 0.6591 0.5000
Pr 0.4560 0.0939 0.5000
Pr 0.5000 0.5000 0.5000
Pr 0.5440 0.9061 0.5000
Pr 0.6591 0.3409 0.5000
Pr 0.7881 0.7881 0.5000
Pr 0.8653 0.1347 0.5000
Pr 0.9061 0.5440 0.5000
Tm 0.0000 0.0000 0.0000
Tm 0.1357 0.6635 0.0000
Tm 0.2903 0.4356 0.0000
Tm 0.3365 0.8643 0.0000
Tm 0.4356 0.2903 0.0000
Tm 0.5644 0.7097 0.0000
Tm 0.6635 0.1357 0.0000
Tm 0.7097 0.5644 0.0000
Tm 0.8643 0.3365 0.0000